For La2MgNi, a structure optimized by DFT (PBE) gives the computed powder X-ray diffraction pattern in this record (copper Kα).

Peak list (6 most intense, 2θ = 10–90°, in order of rising 2θ)
2θ (°)  I/Imax  index
10.9  43  0 0 1
24.5  32  1 0 0
33.1  100  1 0 2
34.9  52  1 1 0
41.6  39  1 0 3
61.5  35  2 1 2

Atomic structure:
```
data_La2MgNi
_chemical_formula_sum 'La2 Mg1 Ni1'
_cell_length_a 3.6326
_cell_length_b 3.6326
_cell_length_c 8.1116
_cell_angle_alpha 90.00
_cell_angle_beta 90.00
_cell_angle_gamma 90.00
_symmetry_space_group_name_H-M 'P 4/m m m'
_symmetry_Int_Tables_number 123
_symmetry_space_group_name_Hall '-P 4 2'
loop_
_atom_site_label
_atom_site_type_symbol
_atom_site_fract_x
_atom_site_fract_y
_atom_site_fract_z
La1 La 0.0000 0.0000 0.2038
Mg1 Mg 0.5000 0.5000 0.5000
Ni1 Ni 0.5000 0.5000 0.0000
```